1.
LaNbPbS: simulated X-ray powder pattern (Cu Kα), based on a cell relaxed with PBE.
Neutral-atom scattering factors, no anomalous dispersion.

Structural model:
Cell lengths 3.519, 4.297, 6.725 Å; angles 90.00, 90.00, 90.00 degrees
Element x y z (fractional)
La: 0.000 0.000 0.000
Nb: 0.000 0.500 0.404
Pb: 0.500 0.000 0.566
S: 0.500 0.500 0.135

Principal peaks in the range 10° ≤ 2θ ≤ 90°, in order of rising 2θ:
| d [Å] | 2θ (°) | I (rel.) | index |
| --- | --- | --- | --- |
| 6.725 | 13.17 | 15 | 0 0 1 |
| 4.297 | 20.67 | 23 | 0 1 0 |
| 3.621 | 24.58 | 19 | 0 1 1 |
| 3.362 | 26.51 | 30 | 0 0 2 |
| 3.118 | 28.63 | 30 | 1 0 1 |
| 2.648 | 33.85 | 32 | 0 1 2 |
| 2.523 | 35.58 | 100 | 1 1 1 |
| 2.431 | 36.98 | 19 | 1 0 2 |
| 2.149 | 42.05 | 19 | 0 2 0 |
| 1.891 | 48.13 | 16 | 1 0 3 |


2.
Pm2Cd5Ag5: simulated X-ray powder pattern (Cu Kα), based on a cell relaxed with PBE.
Neutral-atom scattering factors, no anomalous dispersion.

Structural model:
Cell lengths 4.749, 5.724, 9.991 Å; angles 90.00, 90.00, 90.00 degrees
Element x y z (fractional)
Pm: 0.000 0.000 0.000
Pm: 0.000 0.500 0.500
Cd: 0.000 0.000 0.327
Cd: 0.000 0.000 0.673
Cd: 0.000 0.500 0.166
Cd: 0.000 0.500 0.834
Cd: 0.500 0.000 0.500
Ag: 0.500 0.251 0.249
Ag: 0.500 0.251 0.751
Ag: 0.500 0.500 0.000
Ag: 0.500 0.749 0.249
Ag: 0.500 0.749 0.751

Principal peaks in the range 10° ≤ 2θ ≤ 90°, in order of rising 2θ:
| d [Å] | 2θ (°) | I (rel.) | index |
| --- | --- | --- | --- |
| 3.435 | 25.94 | 32 | 1 1 1 |
| 2.878 | 31.07 | 22 | 0 1 3 |
| 2.483 | 36.17 | 28 | 0 2 2 |
| 2.462 | 36.50 | 100 | 1 1 3 |
| 2.451 | 36.66 | 49 | 1 2 0 |
| 2.375 | 37.89 | 48 | 2 0 0 |
| 2.201 | 41.01 | 29 | 1 2 2 |
| 1.563 | 59.10 | 24 | 1 3 3 |
| 1.439 | 64.78 | 19 | 0 2 6 |
| 1.231 | 77.56 | 22 | 2 2 6 |